The following is a theoretical PXRD pattern of U2BiSb2. It was derived from a GGA-PBE-relaxed structure, using copper Kα.
Kinematic intensities with the Lorentz-polarization factor, no thermal factor.

Structure:
```
U2BiSb2
1.0
2.9218 0.0000 0.0000
0.0000 2.9218 0.0000
0.0000 0.0000 17.5851
U Bi Sb
2 1 2
Direct
0.0000 0.0000 0.1868
0.0000 0.0000 0.8132
0.0000 0.0000 0.0000
0.0000 0.0000 0.3687
0.0000 0.0000 0.6313
```

Peak list (10 most intense, 2θ = 10–90°, low angle first)
- 2θ 25.3, intensity 462
- 2θ 30.6, intensity 1000
- 2θ 40.1, intensity 563
- 2θ 43.8, intensity 584
- 2θ 51.3, intensity 280
- 2θ 54.3, intensity 146
- 2θ 66.7, intensity 167
- 2θ 72.3, intensity 211
- 2θ 75.1, intensity 121
- 2θ 78.0, intensity 172



The following is a theoretical PXRD pattern of CsHo3Te5. It was derived from a GGA-PBE-relaxed structure, using copper Kα.
Kinematic intensities with the Lorentz-polarization factor, no thermal factor.

Structure:
```
CsHo3Te5
1.0
23.8156 0.0000 0.0000
0.0000 4.4100 0.0000
0.0000 0.0000 13.1968
Cs Ho Te
4 12 20
Direct
0.0892 0.2500 0.1460
0.4108 0.7500 0.6460
0.5892 0.2500 0.3540
0.9108 0.7500 0.8540
0.0556 0.7500 0.6079
0.1748 0.2500 0.7968
0.1976 0.2500 0.4538
0.3024 0.7500 0.9538
0.3252 0.7500 0.2968
0.4444 0.2500 0.1079
0.5556 0.7500 0.8921
0.6748 0.2500 0.7032
0.6976 0.2500 0.0462
0.8024 0.7500 0.5462
0.8252 0.7500 0.2032
0.9444 0.2500 0.3921
0.0470 0.2500 0.7692
0.0688 0.2500 0.4439
0.1743 0.7500 0.9544
0.1862 0.7500 0.6247
0.1969 0.7500 0.2977
0.3031 0.2500 0.7977
0.3138 0.2500 0.1247
0.3257 0.2500 0.4544
0.4312 0.7500 0.9439
0.4530 0.7500 0.2692
0.5470 0.2500 0.7308
0.5688 0.2500 0.0561
0.6743 0.7500 0.5456
0.6862 0.7500 0.8753
0.6969 0.7500 0.2023
0.8031 0.2500 0.7023
0.8138 0.2500 0.3753
0.8257 0.2500 0.0456
0.9312 0.7500 0.5561
0.9530 0.7500 0.2308
```

Peak list (10 most intense, 2θ = 10–90°, low angle first)
- 2θ 10.0, intensity 203
- 2θ 17.5, intensity 204
- 2θ 28.7, intensity 1000
- 2θ 28.9, intensity 794
- 2θ 30.0, intensity 524
- 2θ 30.8, intensity 283
- 2θ 40.9, intensity 350
- 2θ 41.2, intensity 282
- 2θ 42.0, intensity 486
- 2θ 51.6, intensity 242



The following is a theoretical PXRD pattern of PuHg3. It was derived from a GGA-PBE-relaxed structure, using copper Kα.
Kinematic intensities with the Lorentz-polarization factor, no thermal factor.

Structure:
```
PuHg3
1.0
0.0000 3.6830 3.6830
3.6830 0.0000 3.6830
3.6830 3.6830 0.0000
Pu Hg
1 3
Direct
0.0000 0.0000 0.0000
0.2500 0.2500 0.2500
0.5000 0.5000 0.5000
0.7500 0.7500 0.7500
```

Peak list (5 most intense, 2θ = 10–90°, low angle first)
- 2θ 34.4, intensity 1000
- 2θ 49.5, intensity 183
- 2θ 61.7, intensity 383
- 2θ 72.6, intensity 120
- 2θ 82.9, intensity 173



The following is a theoretical PXRD pattern of BaSrI4. It was derived from a GGA-PBE-relaxed structure, using copper Kα.
Kinematic intensities with the Lorentz-polarization factor, no thermal factor.

Structure:
```
BaSrI4
1.0
16.7195 0.0000 0.0000
0.0000 8.3914 0.0000
0.0000 0.0000 8.2187
Ba Sr I
4 4 16
Direct
0.0060 0.2391 0.0000
0.4940 0.7391 0.5000
0.5060 0.2609 0.0000
0.9940 0.7609 0.5000
0.2460 0.6956 0.0141
0.2540 0.1956 0.5141
0.7460 0.8044 0.0141
0.7540 0.3044 0.5141
0.1086 0.5260 0.2400
0.1162 0.0255 0.2829
0.1419 0.9435 0.7749
0.1444 0.4437 0.7453
0.3556 0.9437 0.2453
0.3581 0.4435 0.2749
0.3838 0.5255 0.7829
0.3914 0.0260 0.7400
0.6086 0.9740 0.2400
0.6162 0.4745 0.2829
0.6419 0.5565 0.7749
0.6444 0.0563 0.7453
0.8556 0.5563 0.2453
0.8581 0.0565 0.2749
0.8838 0.9745 0.7829
0.8914 0.4740 0.7400
```

Peak list (10 most intense, 2θ = 10–90°, low angle first)
- 2θ 18.5, intensity 386
- 2θ 21.2, intensity 172
- 2θ 21.6, intensity 107
- 2θ 24.4, intensity 112
- 2θ 28.8, intensity 102
- 2θ 30.2, intensity 439
- 2θ 30.5, intensity 1000
- 2θ 44.1, intensity 97
- 2θ 53.8, intensity 113
- 2θ 54.3, intensity 141



The following is a theoretical PXRD pattern of ErTiFe8Co3. It was derived from a GGA-PBE-relaxed structure, using copper Kα.
Kinematic intensities with the Lorentz-polarization factor, no thermal factor.

Structure:
```
ErTiFe8Co3
1.0
-2.3654 4.2034 4.2099
2.3654 -4.2034 4.2099
2.3654 4.2034 -4.2099
Er Ti Fe Co
1 1 8 3
Direct
0.0000 0.0000 0.0000
0.3795 0.3795 0.0000
0.0024 0.0045 0.4985
0.0024 0.5039 0.9979
0.2227 0.5058 0.7169
0.2262 0.7262 0.5000
0.5060 0.0045 0.0021
0.5060 0.5039 0.5015
0.7753 0.2753 0.5000
0.7889 0.5058 0.2831
0.3609 0.0033 0.3576
0.6458 0.0033 0.6424
0.6539 0.6539 0.0000
```

Peak list (10 most intense, 2θ = 10–90°, low angle first)
- 2θ 30.4, intensity 384
- 2θ 33.7, intensity 138
- 2θ 37.3, intensity 476
- 2θ 38.0, intensity 167
- 2θ 43.0, intensity 564
- 2θ 43.2, intensity 1000
- 2θ 43.9, intensity 698
- 2θ 49.2, intensity 209
- 2θ 72.3, intensity 201
- 2θ 79.0, intensity 177



The following is a theoretical PXRD pattern of MgZnCo. It was derived from a GGA-PBE-relaxed structure, using copper Kα.
Kinematic intensities with the Lorentz-polarization factor, no thermal factor.

Structure:
```
MgZnCo
1.0
-2.4937 2.5097 3.5096
2.4937 -2.5097 3.5096
2.4937 2.5097 -3.5096
Mg Zn Co
2 2 2
Direct
0.3678 0.1178 0.2500
0.6322 0.8822 0.7500
0.0000 0.5000 0.5000
0.5000 0.5000 0.0000
0.0000 0.0000 0.5000
0.0000 0.5000 0.0000
```

Peak list (10 most intense, 2θ = 10–90°, low angle first)
- 2θ 21.8, intensity 1000
- 2θ 42.3, intensity 598
- 2θ 42.5, intensity 451
- 2θ 42.7, intensity 511
- 2θ 44.4, intensity 543
- 2θ 44.6, intensity 574
- 2θ 51.7, intensity 228
- 2θ 56.9, intensity 132
- 2θ 69.1, intensity 180
- 2θ 76.4, intensity 355



The following is a theoretical PXRD pattern of Ca2MgIn. It was derived from a GGA-PBE-relaxed structure, using copper Kα.
Kinematic intensities with the Lorentz-polarization factor, no thermal factor.

Structure:
```
Ca2MgIn
1.0
0.0000 3.8821 3.8821
3.8821 0.0000 3.8821
3.8821 3.8821 0.0000
Ca Mg In
2 1 1
Direct
0.2500 0.2500 0.2500
0.7500 0.7500 0.7500
0.0000 0.0000 0.0000
0.5000 0.5000 0.5000
```

Peak list (10 most intense, 2θ = 10–90°, low angle first)
- 2θ 19.8, intensity 364
- 2θ 22.9, intensity 74
- 2θ 32.6, intensity 1000
- 2θ 38.5, intensity 204
- 2θ 46.8, intensity 173
- 2θ 51.3, intensity 87
- 2θ 58.2, intensity 348
- 2θ 62.1, intensity 64
- 2θ 68.3, intensity 104
- 2θ 77.8, intensity 142



The following is a theoretical PXRD pattern of La2Nb2N2O5. It was derived from a GGA-PBE-relaxed structure, using copper Kα.
Kinematic intensities with the Lorentz-polarization factor, no thermal factor.

Structure:
```
La2Nb2N2O5
1.0
5.7018 0.0000 0.0000
0.0207 8.0658 0.0000
0.1173 2.0174 13.6109
La Nb N O
8 8 8 20
Direct
0.0000 0.0000 0.0000
0.0018 0.4970 0.0286
0.4095 0.5868 0.6962
0.4724 0.0574 0.7402
0.4811 0.9455 0.2184
0.4938 0.4437 0.2456
0.9243 0.8621 0.5578
0.9889 0.3776 0.5115
0.0014 0.7066 0.2264
0.4701 0.1334 0.4497
0.4921 0.2336 0.0081
0.4965 0.6573 0.4406
0.5043 0.7549 0.0045
0.9597 0.7959 0.7984
0.9653 0.3218 0.7988
0.9817 0.1872 0.2434
0.0593 0.5416 0.8231
0.1904 0.8506 0.6957
0.2033 0.7593 0.1139
0.5517 0.8960 0.4299
0.5679 0.9974 0.0384
0.6996 0.8091 0.7119
0.8096 0.7458 0.9492
0.9287 0.9492 0.2376
0.0718 0.4455 0.2155
0.1663 0.3127 0.6834
0.1728 0.1041 0.5108
0.2108 0.6308 0.5313
0.2162 0.1917 0.1071
0.2916 0.2203 0.8984
0.2957 0.6926 0.3127
0.3015 0.8457 0.9004
0.3083 0.1581 0.3034
0.3924 0.3883 0.4280
0.4308 0.4968 0.0228
0.6712 0.3447 0.7379
0.6726 0.1359 0.5606
0.6986 0.5871 0.5536
0.7049 0.6757 0.1504
0.7186 0.2592 0.1477
0.7673 0.5986 0.3532
0.7842 0.2243 0.3538
0.8081 0.2882 0.9474
0.9009 0.0508 0.8247
```

Peak list (10 most intense, 2θ = 10–90°, low angle first)
- 2θ 26.2, intensity 839
- 2θ 27.3, intensity 482
- 2θ 28.8, intensity 1000
- 2θ 28.9, intensity 838
- 2θ 31.4, intensity 790
- 2θ 31.7, intensity 654
- 2θ 31.8, intensity 740
- 2θ 32.0, intensity 287
- 2θ 41.1, intensity 255
- 2θ 45.0, intensity 530



The following is a theoretical PXRD pattern of Ba4CaTl4Cu6O20. It was derived from a GGA-PBE-relaxed structure, using copper Kα.
Kinematic intensities with the Lorentz-polarization factor, no thermal factor.

Structure:
```
Ba4CaTl4Cu6O20
1.0
3.7244 0.0000 0.0000
0.0005 7.4584 0.0000
1.4554 1.8064 19.4444
Ba Ca Tl Cu O
4 1 4 6 20
Direct
0.0000 0.0000 0.0000
0.9998 0.4998 0.0004
0.3415 0.6503 0.4399
0.3417 0.1502 0.4370
0.2436 0.5902 0.6353
0.4432 0.2151 0.1584
0.4432 0.7151 0.1583
0.8982 0.4363 0.2824
0.8982 0.9350 0.2823
0.5461 0.2755 0.8802
0.5458 0.7748 0.8803
0.6944 0.2982 0.7282
0.6943 0.8131 0.7304
0.7916 0.8826 0.5557
0.7927 0.3538 0.5539
0.0374 0.2709 0.9039
0.0371 0.7709 0.9040
0.1990 0.3207 0.7196
0.1987 0.7983 0.7220
0.2954 0.8509 0.5467
0.2964 0.3881 0.5441
0.4043 0.2259 0.2663
0.4044 0.7259 0.2660
0.4781 0.2410 0.0539
0.4781 0.7414 0.0539
0.5424 0.0211 0.8980
0.5416 0.5207 0.8987
0.7106 0.5616 0.7065
0.7130 0.0605 0.7085
0.7946 0.6194 0.5475
0.8058 0.1234 0.5289
0.8627 0.4181 0.3874
0.8626 0.9134 0.3872
0.9372 0.4970 0.1750
0.9372 0.9975 0.1750
```

Peak list (10 most intense, 2θ = 10–90°, low angle first)
- 2θ 26.5, intensity 336
- 2θ 26.8, intensity 235
- 2θ 28.6, intensity 448
- 2θ 28.8, intensity 946
- 2θ 29.1, intensity 466
- 2θ 32.2, intensity 498
- 2θ 34.0, intensity 1000
- 2θ 34.3, intensity 279
- 2θ 48.8, intensity 255
- 2θ 48.9, intensity 243



The following is a theoretical PXRD pattern of BiTeO5. It was derived from a GGA-PBE-relaxed structure, using copper Kα.
Kinematic intensities with the Lorentz-polarization factor, no thermal factor.

Structure:
```
BiTeO5
1.0
6.1764 0.0000 0.0000
0.0000 16.4144 0.0000
0.0000 0.0000 11.6521
Bi Te O
8 8 40
Direct
0.0713 0.2115 0.1743
0.0713 0.2885 0.6743
0.4287 0.7115 0.1743
0.4287 0.7885 0.6743
0.5713 0.2115 0.3257
0.5713 0.2885 0.8257
0.9287 0.7115 0.3257
0.9287 0.7885 0.8257
0.0262 0.6070 0.6089
0.0262 0.8930 0.1089
0.4738 0.1070 0.6089
0.4738 0.3930 0.1089
0.5262 0.6070 0.8911
0.5262 0.8930 0.3911
0.9738 0.1070 0.8911
0.9738 0.3930 0.3911
0.1166 0.7022 0.6993
0.1166 0.7978 0.1993
0.1513 0.1650 0.9995
0.1513 0.3350 0.4995
0.1603 0.0471 0.8063
0.1603 0.4529 0.3063
0.2252 0.6520 0.2900
0.2252 0.8480 0.7900
0.2288 0.0742 0.5374
0.2288 0.4258 0.0374
0.2712 0.5742 0.5374
0.2712 0.9258 0.0374
0.2748 0.1520 0.2900
0.2748 0.3480 0.7900
0.3397 0.5471 0.8063
0.3397 0.9529 0.3063
0.3487 0.6650 0.9995
0.3487 0.8350 0.4995
0.3834 0.2022 0.6993
0.3834 0.2978 0.1993
0.6166 0.7022 0.8007
0.6166 0.7978 0.3007
0.6513 0.1650 0.5005
0.6513 0.3350 0.0005
0.6603 0.0471 0.6937
0.6603 0.4529 0.1937
0.7252 0.6520 0.2100
0.7252 0.8480 0.7100
0.7288 0.0742 0.9626
0.7288 0.4258 0.4626
0.7712 0.5742 0.9626
0.7712 0.9258 0.4626
0.7748 0.1520 0.2100
0.7748 0.3480 0.7100
0.8397 0.5471 0.6937
0.8397 0.9529 0.1937
0.8487 0.6650 0.5005
0.8487 0.8350 0.0005
0.8834 0.2022 0.8007
0.8834 0.2978 0.3007
```

Peak list (10 most intense, 2θ = 10–90°, low angle first)
- 2θ 10.8, intensity 876
- 2θ 17.1, intensity 571
- 2θ 18.7, intensity 299
- 2θ 23.0, intensity 852
- 2θ 25.4, intensity 184
- 2θ 26.6, intensity 1000
- 2θ 31.8, intensity 241
- 2θ 33.7, intensity 208
- 2θ 34.5, intensity 388
- 2θ 50.2, intensity 233